Diffraction record for RbNa5Be8O11. The powder diffractogram is theoretical, not measured: it uses DFT lattice parameters and positions (PBE) and Cu Kα.
No peak broadening, texture or thermal motion is included.

The 10 most intense peaks (5° ≤ 2θ ≤ 70°), sorted by position:
- d = 9.594 Å, 2θ = 9.22°, intensity 41, (0 0 1)
- d = 3.990 Å, 2θ = 22.28°, intensity 39, (0 2 0)
- d = 3.020 Å, 2θ = 29.58°, intensity 37, (2 0 0)
- d = 2.498 Å, 2θ = 35.94°, intensity 100, (1 2 4)
- d = 2.393 Å, 2θ = 37.58°, intensity 31, (2 0 2)
- d = 2.365 Å, 2θ = 38.05°, intensity 33, (-1 2 4)
- d = 2.327 Å, 2θ = 38.69°, intensity 33, (-1 3 1)
- d = 2.296 Å, 2θ = 39.24°, intensity 33, (-1 3 3)
- d = 2.256 Å, 2θ = 39.97°, intensity 40, (2 1 -3)
- d = 2.144 Å, 2θ = 42.15°, intensity 52, (1 4 0)

Structure:
```
data_RbNa5Be8O11
_chemical_formula_sum 'Rb2 Na10 Be16 O22'
_symmetry_space_group_name_H-M 'P -1'
_symmetry_Int_Tables_number 2
_cell_length_a 6.4869
_cell_length_b 9.5100
_cell_length_c 10.7609
_cell_angle_alpha 64.46
_cell_angle_beta 89.11
_cell_angle_gamma 70.24
loop_
_symmetry_equiv_pos_as_xyz
'x,y,z'
'-x,-y,-z'
loop_
_atom_site_label
_atom_site_fract_x
_atom_site_fract_y
_atom_site_fract_z
_atom_site_occupancy
Rb1 0.2499 0.2361 0.0607 1
Na1 0.2361 0.7399 0.5394 1
Na2 0.2486 0.9455 0.9757 1
Na3 0.2535 0.4468 0.4835 1
Na4 0.3728 0.1394 0.3729 1
Na5 0.4070 0.6372 0.8572 1
Be1 0.0042 0.5918 0.7491 1
Be2 0.0497 0.9130 0.7248 1
Be3 0.1166 0.7846 0.2719 1
Be4 0.1647 0.2819 0.7605 1
Be5 0.2259 0.6129 0.1492 1
Be6 0.2804 0.1104 0.6464 1
Be7 0.4088 0.8430 0.2986 1
Be8 0.4585 0.3433 0.7858 1
O1 0.0188 0.7689 0.1381 1
O2 0.0278 0.7583 0.7210 1
O3 0.0638 0.2658 0.6259 1
O4 0.1421 0.9594 0.2456 1
O5 0.1946 0.4590 0.7244 1
O6 0.2126 0.4366 0.2071 1
O7 0.2797 0.9298 0.7128 1
O8 0.3774 0.6575 0.3332 1
O9 0.4263 0.1529 0.8220 1
O10 0.4326 0.6452 0.0858 1
O11 0.4799 0.1494 0.5733 1
```

***

Diffraction record for Rb2SbCl3F2. The powder diffractogram is theoretical, not measured: it uses DFT lattice parameters and positions (PBE) and Cu Kα.
No peak broadening, texture or thermal motion is included.

The 10 most intense peaks (5° ≤ 2θ ≤ 70°), sorted by position:
- d = 3.842 Å, 2θ = 23.15°, intensity 42, (1 -1 0)
- d = 3.800 Å, 2θ = 23.41°, intensity 100, (1 2 0)
- d = 3.750 Å, 2θ = 23.73°, intensity 39, (2 1 0)
- d = 3.663 Å, 2θ = 24.30°, intensity 34, (0 1 -3)
- d = 3.041 Å, 2θ = 29.37°, intensity 53, (1 -1 3)
- d = 3.020 Å, 2θ = 29.58°, intensity 99, (2 1 -2)
- d = 2.758 Å, 2θ = 32.47°, intensity 29, (2 0 -2)
- d = 2.654 Å, 2θ = 33.77°, intensity 42, (0 2 3)
- d = 2.222 Å, 2θ = 40.60°, intensity 34, (0 3 0)
- d = 2.220 Å, 2θ = 40.64°, intensity 30, (3 0 1)

Structure:
```
data_Rb2SbCl3F2
_chemical_formula_sum 'Rb6 Sb3 Cl9 F6'
_symmetry_space_group_name_H-M 'P -1'
_symmetry_Int_Tables_number 2
_cell_length_a 7.6372
_cell_length_b 7.6439
_cell_length_c 13.4064
_cell_angle_alpha 84.56
_cell_angle_beta 78.91
_cell_angle_gamma 60.69
loop_
_symmetry_equiv_pos_as_xyz
'x,y,z'
'-x,-y,-z'
loop_
_atom_site_label
_atom_site_fract_x
_atom_site_fract_y
_atom_site_fract_z
_atom_site_occupancy
Rb1 0.0648 0.1625 0.3070 1
Rb2 0.1943 0.1683 0.9105 1
Rb3 0.3989 0.4999 0.3167 1
Sb1 0.2996 0.1652 0.6020 1
Sb2 0.5000 0.5000 0.0000 1
Cl1 0.0000 0.5000 0.5000 1
Cl2 0.2153 0.7143 0.8835 1
Cl3 0.2416 0.3942 0.1176 1
Cl4 0.3142 0.8180 0.5017 1
Cl5 0.3543 0.8248 0.1157 1
F1 0.0629 0.1628 0.6951 1
F2 0.2692 0.3737 0.6933 1
F3 0.4825 0.9553 0.6915 1
```

***

Diffraction record for Gd2Al3Ge4. The powder diffractogram is theoretical, not measured: it uses DFT lattice parameters and positions (PBE) and Cu Kα.
No peak broadening, texture or thermal motion is included.

The 10 most intense peaks (5° ≤ 2θ ≤ 70°), sorted by position:
- d = 4.515 Å, 2θ = 19.66°, intensity 38, (1 1 1)
- d = 2.756 Å, 2θ = 32.49°, intensity 50, (1 3 2)
- d = 2.734 Å, 2θ = 32.75°, intensity 25, (0 4 2)
- d = 2.590 Å, 2θ = 34.63°, intensity 58, (2 2 1)
- d = 2.536 Å, 2θ = 35.40°, intensity 100, (1 5 1)
- d = 2.506 Å, 2θ = 35.83°, intensity 79, (0 2 3)
- d = 2.388 Å, 2θ = 37.67°, intensity 27, (0 6 1)
- d = 2.367 Å, 2θ = 38.01°, intensity 70, (2 0 2)
- d = 2.315 Å, 2θ = 38.90°, intensity 34, (2 4 0)
- d = 1.799 Å, 2θ = 50.76°, intensity 26, (1 7 2)

Structure:
```
data_Gd2Al3Ge4
_chemical_formula_sum 'Gd8 Al12 Ge16'
_symmetry_space_group_name_H-M 'C m c e'
_symmetry_Int_Tables_number 64
_symmetry_space_group_name_Hall '-C 2ac 2'
_cell_length_a 5.8825
_cell_length_b 15.0153
_cell_length_c 7.9758
_cell_angle_alpha 90.00
_cell_angle_beta 90.00
_cell_angle_gamma 90.00
loop_
_atom_site_label
_atom_site_fract_x
_atom_site_fract_y
_atom_site_fract_z
_atom_site_occupancy
Gd1 0.0000 0.1148 0.0813 1
Al1 0.0000 0.0000 0.5000 1
Al2 0.2500 0.2183 0.7500 1
Ge1 0.0000 0.1846 0.4492 1
Ge2 0.2500 0.0486 0.7500 1
```

***

What did the first record say?
Diffraction record for RbNa5Be8O11. The powder diffractogram is theoretical, not measured: it uses DFT lattice parameters and positions (PBE) and Cu Kα.
No peak broadening, texture or thermal motion is included.

The 10 most intense peaks (5° ≤ 2θ ≤ 70°), sorted by position:
- d = 9.594 Å, 2θ = 9.22°, intensity 41, (0 0 1)
- d = 3.990 Å, 2θ = 22.28°, intensity 39, (0 2 0)
- d = 3.020 Å, 2θ = 29.58°, intensity 37, (2 0 0)
- d = 2.498 Å, 2θ = 35.94°, intensity 100, (1 2 4)
- d = 2.393 Å, 2θ = 37.58°, intensity 31, (2 0 2)
- d = 2.365 Å, 2θ = 38.05°, intensity 33, (-1 2 4)
- d = 2.327 Å, 2θ = 38.69°, intensity 33, (-1 3 1)
- d = 2.296 Å, 2θ = 39.24°, intensity 33, (-1 3 3)
- d = 2.256 Å, 2θ = 39.97°, intensity 40, (2 1 -3)
- d = 2.144 Å, 2θ = 42.15°, intensity 52, (1 4 0)

Structure:
```
data_RbNa5Be8O11
_chemical_formula_sum 'Rb2 Na10 Be16 O22'
_symmetry_space_group_name_H-M 'P -1'
_symmetry_Int_Tables_number 2
_cell_length_a 6.4869
_cell_length_b 9.5100
_cell_length_c 10.7609
_cell_angle_alpha 64.46
_cell_angle_beta 89.11
_cell_angle_gamma 70.24
loop_
_symmetry_equiv_pos_as_xyz
'x,y,z'
'-x,-y,-z'
loop_
_atom_site_label
_atom_site_fract_x
_atom_site_fract_y
_atom_site_fract_z
_atom_site_occupancy
Rb1 0.2499 0.2361 0.0607 1
Na1 0.2361 0.7399 0.5394 1
Na2 0.2486 0.9455 0.9757 1
Na3 0.2535 0.4468 0.4835 1
Na4 0.3728 0.1394 0.3729 1
Na5 0.4070 0.6372 0.8572 1
Be1 0.0042 0.5918 0.7491 1
Be2 0.0497 0.9130 0.7248 1
Be3 0.1166 0.7846 0.2719 1
Be4 0.1647 0.2819 0.7605 1
Be5 0.2259 0.6129 0.1492 1
Be6 0.2804 0.1104 0.6464 1
Be7 0.4088 0.8430 0.2986 1
Be8 0.4585 0.3433 0.7858 1
O1 0.0188 0.7689 0.1381 1
O2 0.0278 0.7583 0.7210 1
O3 0.0638 0.2658 0.6259 1
O4 0.1421 0.9594 0.2456 1
O5 0.1946 0.4590 0.7244 1
O6 0.2126 0.4366 0.2071 1
O7 0.2797 0.9298 0.7128 1
O8 0.3774 0.6575 0.3332 1
O9 0.4263 0.1529 0.8220 1
O10 0.4326 0.6452 0.0858 1
O11 0.4799 0.1494 0.5733 1
```